Record 1
For Er2B6Ru, a crystal structure in the Materials Project, relaxed with PBE gives the computed powder diffraction line list in this record (a wavelength of 1.5418 Å).
Lines closer than 0.1° are merged.

Principal peaks in the range 5 to 70 degrees two-theta, low angle first:
24.45°, I 1000, hkl 0 0 1
30.51°, I 754, hkl 3 1 0
31.20°, I 262, hkl 0 4 0
32.75°, I 253, hkl 1 4 0
33.42°, I 261, hkl 3 2 0
39.48°, I 930, hkl 3 1 1
40.03°, I 324, hkl 0 4 1
41.30°, I 324, hkl 1 4 1
41.84°, I 338, hkl 3 2 1
59.82°, I 230, hkl 3 1 2

```
data_Er2B6Ru
_space_group_name_H-M_alt 'P b a m'
_space_group_IT_number 55
_space_group_name_Hall '-P 2 2ab'
_cell_length_a 9.100
_cell_length_b 11.466
_cell_length_c 3.641
_cell_angle_alpha 90.00
_cell_angle_beta 90.00
_cell_angle_gamma 90.00
loop_
_atom_site_label
_atom_site_fract_x
_atom_site_fract_y
_atom_site_fract_z
Er1 0.055 0.128 0.000
Er2 0.178 0.414 0.000
B1 0.016 0.287 0.500
B2 0.055 0.567 0.500
B3 0.109 0.970 0.500
B4 0.132 0.815 0.500
B5 0.208 0.234 0.500
B6 0.249 0.580 0.500
Ru1 0.139 0.679 0.000
```

=====

Record 2
For CaB4H20N2, a crystal structure in the Materials Project, relaxed with PBE gives the computed powder diffraction line list in this record (a wavelength of 1.5418 Å).
Lines closer than 0.1° are merged.

Principal peaks in the range 5 to 70 degrees two-theta, low angle first:
16.39°, I 751, hkl 1 1 1
21.16°, I 465, hkl 2 0 0
21.53°, I 433, hkl 0 0 2
24.70°, I 1000, hkl 1 3 1
26.07°, I 262, hkl 0 4 0
30.37°, I 713, hkl 2 0 2
39.32°, I 307, hkl 3 3 1
39.74°, I 322, hkl 1 3 3
40.44°, I 211, hkl 2 4 2
50.65°, I 283, hkl 2 6 2

```
data_CaB4H20N2
_space_group_name_H-M_alt 'A e a 2'
_space_group_IT_number 41
_space_group_name_Hall 'A 2 -2ab'
_cell_length_a 8.397
_cell_length_b 13.671
_cell_length_c 8.256
_cell_angle_alpha 90.00
_cell_angle_beta 90.00
_cell_angle_gamma 90.00
loop_
_atom_site_label
_atom_site_fract_x
_atom_site_fract_y
_atom_site_fract_z
Ca1 0.000 0.000 0.000
B1 0.054 0.210 0.921
B2 0.227 0.492 0.771
H1 0.046 0.194 0.611
H2 0.065 0.337 0.385
H3 0.086 0.154 0.427
H4 0.092 0.361 0.002
H5 0.133 0.006 0.734
H6 0.135 0.166 0.021
H7 0.135 0.225 0.801
H8 0.149 0.064 0.232
H9 0.179 0.418 0.702
H10 0.213 0.481 0.918
N1 0.000 0.188 0.496
```

=====

Record 3
For LaYNi10, a crystal structure in the Materials Project, relaxed with PBE gives the computed powder diffraction line list in this record (a wavelength of 1.5418 Å).
Lines closer than 0.1° are merged.

Principal peaks in the range 5 to 70 degrees two-theta, low angle first:
30.86°, I 349, hkl 1 1 1
36.51°, I 92, hkl 0 2 0
36.61°, I 181, hkl 0 1 3
42.45°, I 221, hkl 0 2 2
42.57°, I 109, hkl 0 0 4
43.36°, I 1000, hkl 1 2 0
45.88°, I 284, hkl 2 0 0
48.55°, I 103, hkl 1 2 2
60.05°, I 123, hkl 2 2 0
64.31°, I 182, hkl 2 2 2

```
data_LaYNi10
_space_group_name_H-M_alt 'P m m m'
_space_group_IT_number 47
_space_group_name_Hall '-P 2 2'
_cell_length_a 3.956
_cell_length_b 4.923
_cell_length_c 8.495
_cell_angle_alpha 90.00
_cell_angle_beta 90.00
_cell_angle_gamma 90.00
loop_
_atom_site_label
_atom_site_fract_x
_atom_site_fract_y
_atom_site_fract_z
La1 0.000 0.000 0.000
Y1 0.000 0.500 0.500
Ni1 0.000 0.000 0.337
Ni2 0.000 0.500 0.170
Ni3 0.500 0.000 0.500
Ni4 0.500 0.253 0.256
Ni5 0.500 0.500 0.000
```